# 1
This entry pairs a crystal structure of Ba2Li3Ho3W8O32 with its calculated powder diffraction line list. Radiation: a wavelength of 1.5418 Å. Structure: a structure optimized by DFT (GGA+U).
No peak broadening, texture or thermal motion is included.

a b c (Å): 5.2726 6.9400 19.1056
angles (deg): 88.69 88.87 67.97
Space group P1 (No. 1)
Inequivalent atoms, fractional coordinates:
1 Ba 0.0000 0.0000 0.0000
2 Ba 0.0670 0.8779 0.4799
3 Li 0.3449 0.3046 0.4830
4 Li 0.7270 0.5699 0.9948
5 Li 0.8870 0.2251 0.2002
6 Ho 0.1751 0.6451 0.7062
7 Ho 0.1840 0.6460 0.2675
8 Ho 0.8936 0.2326 0.7722
9 W 0.2960 0.4142 0.0876
10 W 0.3076 0.4189 0.8922
11 W 0.4635 0.0590 0.3303
12 W 0.4890 0.0623 0.6445
13 W 0.5797 0.8137 0.8329
14 W 0.6025 0.8193 0.1454
15 W 0.7627 0.4585 0.5856
16 W 0.7757 0.4612 0.3905
17 O 0.0144 0.6438 0.0570
18 O 0.0494 0.2268 0.4200
19 O 0.0902 0.3407 0.9502
20 O 0.1155 0.4578 0.8074
21 O 0.1376 0.2261 0.1007
22 O 0.2130 0.2901 0.2880
23 O 0.2566 0.0339 0.8417
24 O 0.2579 0.9772 0.7020
25 O 0.3037 0.8939 0.2046
26 O 0.3077 0.1121 0.5634
27 O 0.3314 0.6678 0.9103
28 O 0.3388 0.8457 0.3469
29 O 0.4185 0.6481 0.6065
30 O 0.4342 0.4677 0.1689
31 O 0.4784 0.7631 0.0624
32 O 0.5173 0.2820 0.6956
33 O 0.5221 0.5303 0.4634
34 O 0.5436 0.3501 0.0124
35 O 0.5531 0.5943 0.7808
36 O 0.5877 0.1074 0.4143
37 O 0.6180 0.4281 0.3108
38 O 0.6504 0.2282 0.8702
39 O 0.7095 0.0366 0.1287
40 O 0.7362 0.2121 0.5656
41 O 0.7616 0.7654 0.9137
42 O 0.7707 0.9634 0.2758
43 O 0.8101 0.8989 0.7746
44 O 0.8129 0.8430 0.6345
45 O 0.8718 0.6093 0.1928
46 O 0.9435 0.6465 0.3748
47 O 0.9558 0.4189 0.6696
48 O 0.9751 0.5360 0.5252

Main lines, in order of rising 2θ (15° ≤ 2θ ≤ 90°):
| (hkl) | d [Å] | I/Imax |
| --- | --- | --- |
| 1 0 4 | 3.436 | 29 |
| 1 1 -4 | 3.368 | 30 |
| -1 1 1 | 3.285 | 100 |
| 1 -1 2 | 3.149 | 25 |
| 1 1 5 | 3.039 | 38 |
| 1 0 5 | 3.027 | 24 |
| 1 1 -5 | 2.971 | 34 |
| 0 1 6 | 2.872 | 34 |
| 2 1 0 | 2.636 | 45 |
| 2 0 6 | 1.950 | 25 |

=====

# 2
This entry pairs a crystal structure of LiMn2O4 with its calculated powder diffraction line list. Radiation: a wavelength of 1.5418 Å. Structure: a structure optimized by DFT (GGA+U).
No peak broadening, texture or thermal motion is included.

a b c (Å): 5.9790 7.6030 5.9945
angles (deg): 90.00 90.00 90.00
Space group Ibam (No. 72)
Inequivalent atoms, fractional coordinates:
1 Li 0.0000 0.0000 0.0000
2 Mn 0.2500 0.2500 0.2500
3 O 0.0145 0.2582 0.0000
4 O 0.2124 0.0000 0.2500

Main lines, in order of rising 2θ (15° ≤ 2θ ≤ 90°):
| (hkl) | d [Å] | I/Imax |
| --- | --- | --- |
| 0 2 0 | 3.802 | 97 |
| 0 0 2 | 2.994 | 100 |
| 2 2 0 | 2.352 | 26 |
| 2 0 2 | 2.117 | 100 |
| 0 4 0 | 1.901 | 35 |
| 2 2 2 | 1.849 | 49 |
| 0 4 2 | 1.605 | 28 |
| 0 0 4 | 1.499 | 14 |
| 4 0 0 | 1.495 | 12 |
| 2 4 2 | 1.414 | 43 |

=====

# 3
This entry pairs a crystal structure of Rb2Mo6H2Cl14O with its calculated powder diffraction line list. Radiation: a wavelength of 1.5418 Å. Structure: a structure optimized by DFT (GGA+U).
No peak broadening, texture or thermal motion is included.

a b c (Å): 20.8346 16.5728 10.2374
angles (deg): 90.00 115.74 90.00
Space group Cc (No. 9)
Inequivalent atoms, fractional coordinates:
1 Rb 0.0000 0.0431 0.0000
2 Rb 0.0011 0.4470 0.2263
3 Mo 0.1532 0.3156 0.7695
4 Mo 0.1882 0.1232 0.9081
5 Mo 0.1961 0.2791 0.1312
6 Mo 0.3069 0.2182 0.8149
7 Mo 0.3155 0.3738 0.0391
8 Mo 0.3493 0.1790 0.1741
9 H 0.0408 0.2141 0.2192
10 H 0.4592 0.2909 0.6740
11 Cl 0.0593 0.3987 0.5876
12 Cl 0.0823 0.2648 0.9010
13 Cl 0.1088 0.0064 0.8391
14 Cl 0.1372 0.3083 0.2841
15 Cl 0.1913 0.1465 0.6658
16 Cl 0.1978 0.1285 0.1642
17 Cl 0.2068 0.4233 0.0654
18 Cl 0.2508 0.3491 0.6950
19 Cl 0.3232 0.2852 0.3240
20 Cl 0.3500 0.0929 0.9695
21 Cl 0.3661 0.1869 0.6641
22 Cl 0.3889 0.4936 0.1421
23 Cl 0.4103 0.2970 0.9989
24 Cl 0.4387 0.0972 0.3670
25 O 0.4990 0.3207 0.6715

Main lines, in order of rising 2θ (15° ≤ 2θ ≤ 90°):
| (hkl) | d [Å] | I/Imax |
| --- | --- | --- |
| 3 3 -1 | 4.263 | 84 |
| 5 1 -1 | 4.035 | 96 |
| 1 1 2 | 3.967 | 92 |
| 1 5 -1 | 3.153 | 62 |
| 6 0 0 | 3.130 | 89 |
| 4 2 -3 | 3.079 | 58 |
| 3 5 0 | 2.929 | 82 |
| 3 3 2 | 2.717 | 100 |
| 2 2 3 | 2.485 | 82 |
| 4 6 -1 | 2.439 | 55 |

=====

# 4
This entry pairs a crystal structure of GdMoBrO4 with its calculated powder diffraction line list. Radiation: a wavelength of 1.5418 Å. Structure: a structure optimized by DFT (GGA+U).
No peak broadening, texture or thermal motion is included.

a b c (Å): 6.9759 7.3787 11.2096
angles (deg): 106.30 107.12 92.33
Space group P-1 (No. 2)
Inequivalent atoms, fractional coordinates:
1 Gd 0.1051 0.3527 0.2307
2 Gd 0.1420 0.1236 0.7301
3 Mo 0.2361 0.8157 0.1341
4 Mo 0.2747 0.5910 0.6309
5 Br 0.2419 0.0179 0.4836
6 Br 0.3029 0.2831 0.0185
7 O 0.1110 0.0234 0.1819
8 O 0.1256 0.6546 0.2005
9 O 0.1598 0.7974 0.7006
10 O 0.1735 0.7279 0.9607
11 O 0.1783 0.5058 0.4559
12 O 0.1989 0.4229 0.7032
13 O 0.4579 0.3628 0.3227
14 O 0.4967 0.1346 0.7931

Main lines, in order of rising 2θ (15° ≤ 2θ ≤ 90°):
| (hkl) | d [Å] | I/Imax |
| --- | --- | --- |
| 0 0 2 | 5.099 | 20 |
| 0 2 -1 | 3.683 | 100 |
| 1 0 2 | 3.529 | 45 |
| 2 0 0 | 3.303 | 20 |
| -2 1 1 | 3.168 | 16 |
| 2 1 -2 | 3.057 | 19 |
| -1 1 3 | 2.872 | 20 |
| 1 1 -4 | 2.765 | 25 |
| -2 1 3 | 2.532 | 18 |
| 0 4 -2 | 1.842 | 16 |

=====

# 5
This entry pairs a crystal structure of Rb2MoC2O8 with its calculated powder diffraction line list. Radiation: a wavelength of 1.5418 Å. Structure: a structure optimized by DFT (GGA+U).
No peak broadening, texture or thermal motion is included.

a b c (Å): 9.2206 13.5277 7.7399
angles (deg): 90.00 95.67 90.00
Space group P2_1/c (No. 14)
Inequivalent atoms, fractional coordinates:
1 Rb 0.1103 0.1361 0.1653
2 Rb 0.3663 0.0143 0.7258
3 Mo 0.4607 0.2356 0.4386
4 C 0.2070 0.7457 0.5665
5 C 0.2604 0.6381 0.5344
6 O 0.0105 0.0348 0.5522
7 O 0.0754 0.7370 0.0726
8 O 0.1708 0.5694 0.5066
9 O 0.2996 0.1931 0.9120
10 O 0.3104 0.6892 0.0825
11 O 0.3998 0.6288 0.5342
12 O 0.4029 0.1143 0.3771
13 O 0.4892 0.2233 0.6742

Main lines, in order of rising 2θ (15° ≤ 2θ ≤ 90°):
| (hkl) | d [Å] | I/Imax |
| --- | --- | --- |
| 2 0 0 | 4.582 | 28 |
| 2 1 1 | 3.645 | 100 |
| 1 1 -2 | 3.554 | 45 |
| 0 2 2 | 3.347 | 36 |
| 1 2 -2 | 3.235 | 31 |
| 1 4 0 | 3.173 | 41 |
| 3 1 0 | 2.983 | 21 |
| 3 2 0 | 2.787 | 24 |
| 2 5 0 | 2.330 | 23 |
| 0 1 4 | 1.906 | 22 |